For Nd8Ho3Tm4, a cell relaxed with PBE gives the simulated powder diffractogram in this record (Cu Kα X-rays).
Peak positions follow from Bragg's law for the DFT cell and can differ from measured ones.

Structural model:
a b c (Å): 9.1702 9.1702 6.8544
angles (deg): 110.34 110.34 83.27
Sites, in units of the cell vectors:
1 Nd 0.2046 0.2046 0.1744
2 Nd 0.2053 0.7947 0.0000
3 Nd 0.2544 0.7456 0.5000
4 Nd 0.2570 0.2570 0.7102
5 Nd 0.7430 0.7430 0.2898
6 Nd 0.7456 0.2544 0.5000
7 Nd 0.7947 0.2053 0.0000
8 Nd 0.7954 0.7954 0.8256
9 Ho 0.0000 0.0000 0.5000
10 Ho 0.0000 0.5000 0.0000
11 Ho 0.5000 0.0000 0.0000
12 Tm 0.0000 0.5000 0.5000
13 Tm 0.5000 0.0000 0.5000
14 Tm 0.5000 0.5000 0.0000
15 Tm 0.5000 0.5000 0.5000

Top 6 peaks for 10° ≤ 2θ ≤ 90°, in order of rising 2θ:
two_theta  d_spacing  I_rel
29.3  3.046  73.9
29.4  3.034  100.0
29.9  2.985  44.0
33.0  2.717  35.0
33.9  2.643  31.7
42.0  2.150  63.3